# Zn2FeSbO6
Calculated powder XRD pattern, λ = 1.5418 Å (Cu Kα). Input: a crystal structure in Alexandria, relaxed with GGA+U.
Intensities are scaled so that the largest is 100.

Peak list (10 most intense, 5° ≤ 2θ ≤ 70°, in order of rising 2θ)
2theta, Rel. int., index
33.31, 100, 1 2 -1
33.71, 24, 0 0 2
34.01, 23, 2 0 0
47.01, 14, 0 4 0
48.51, 12, 2 0 -2
59.09, 12, 0 4 2
59.28, 11, 2 4 0
59.96, 10, 1 2 -3
60.34, 12, 3 2 -1
60.50, 12, 3 2 1

Structure:
abc: 5.2726 7.7325 5.3170
angles: 90.00 90.28 90.00
Space group P2_1/m (No. 11)
Symmetry-distinct sites (fractional):
Zn: 0.0114 0.2500 0.0517 (multiplicity 2)
Zn: 0.4772 0.7500 0.4834 (multiplicity 2)
Fe: 0.0000 0.0000 0.5000 (multiplicity 2)
Sb: 0.5000 0.0000 0.0000 (multiplicity 2)
O: 0.1113 0.7500 0.5786 (multiplicity 2)
O: 0.1795 0.0666 0.8254 (multiplicity 4)
O: 0.3320 0.0665 0.3182 (multiplicity 4)
O: 0.3700 0.7500 0.0798 (multiplicity 2)